Starting from a structure optimized by DFT (PBE), the powder X-ray diffraction pattern of AcNd2Tm5 was calculated for Cu Ka.

Atomic structure:
Lattice parameters (Å, degrees): 10.1005 14.3518 7.2273 90.00 90.00 90.00
Space group Pbam (No. 55)
Inequivalent atoms, fractional coordinates:
Ac1 0.2450 0.1264 0.0000 x4
Nd1 0.0000 0.5000 0.2537 x4
Nd2 0.2453 0.1262 0.5000 x4
Tm1 0.0000 0.0000 0.2550 x4
Tm2 0.0021 0.7500 0.2549 x8
Tm3 0.2480 0.8745 0.5000 x4
Tm4 0.2483 0.8756 0.0000 x4

The 6 most intense peaks (10 to 90 degrees two-theta), by angle:
- 30.42 deg, rel. 100
- 30.56 deg, rel. 99
- 35.25 deg, rel. 68
- 35.55 deg, rel. 33
- 50.93 deg, rel. 60
- 60.20 deg, rel. 29